This entry pairs a crystal structure of LiFe4B4O12 with its calculated X-ray powder pattern. Radiation: Cu Ka. Structure: a cell relaxed with GGA+U.
Neutral-atom scattering factors, no anomalous dispersion.

Most intense lines, 2θ from 15° to 90°, most intense first:
h k l  two_theta  Rel. int.
0 0 8  35.67  100
1 -1 0  19.69  94
1 -1 2  21.60  65
0 1 4  26.39  63
0 1 2  21.30  54
1 0 10  49.59  54
1 0 2  21.39  52
1 0 -4  26.23  44
0 1 -4  26.11  40
2 -2 2  41.03  37

Atomic structure:
```
data_LiFe4B4O12
_chemical_formula_sum 'Li2 Fe8 B8 O24'
_cell_length_a 5.2217
_cell_length_b 5.2530
_cell_length_c 20.1357
_cell_angle_alpha 90.40
_cell_angle_beta 90.16
_cell_angle_gamma 118.82
_symmetry_space_group_name_H-M 'P 1'
_symmetry_Int_Tables_number 1
_symmetry_space_group_name_Hall 'P 1'
loop_
_atom_site_label
_atom_site_fract_x
_atom_site_fract_y
_atom_site_fract_z
Li1 0.0000 0.0000 0.0000
Li2 0.3298 0.3053 0.8689
Fe1 0.3338 0.6579 0.4851
Fe2 0.3390 0.6577 0.9852
Fe3 0.6533 0.9779 0.3610
Fe4 0.6580 0.3247 0.2364
Fe5 0.6622 0.3252 0.7358
Fe6 0.6660 0.9725 0.8585
Fe7 0.9830 0.6432 0.1113
Fe8 0.9839 0.6489 0.6104
B1 0.0024 0.6509 0.8608
B2 0.3157 0.6562 0.2354
B3 0.3241 0.6559 0.7354
B4 0.6557 0.9850 0.1100
B5 0.6563 0.9945 0.6100
B6 0.6603 0.3155 0.9852
B7 0.6625 0.3158 0.4847
B8 0.9947 0.6474 0.3605
O1 0.0076 0.9124 0.8651
O2 0.0552 0.6440 0.2126
O3 0.0604 0.6321 0.7111
O4 0.2479 0.6294 0.8792
O5 0.2530 0.6612 0.3845
O6 0.3563 0.4149 0.7410
O7 0.3604 0.4237 0.2322
O8 0.3852 0.7625 0.0911
O9 0.3899 0.7804 0.5830
O10 0.3973 0.3112 0.9770
O11 0.4290 0.3599 0.4821
O12 0.5303 0.9209 0.2620
O13 0.5439 0.9260 0.7552
O14 0.6484 0.0581 0.4604
O15 0.6673 0.2522 0.6328
O16 0.6777 0.2452 0.1347
O17 0.6861 0.0723 0.9691
O18 0.7482 0.3990 0.8386
O19 0.7815 0.3811 0.3339
O20 0.8888 0.9481 0.6127
O21 0.9015 0.9572 0.1020
O22 0.9087 0.5674 0.0093
O23 0.9285 0.5270 0.5115
O24 0.9509 0.8800 0.3622
```